No. 1
Theoretical PXRD pattern of BaAlBi for Cu Kα, 1.54184 Å, from a PBE-relaxed structure.
Lines closer than 0.1° are merged.

The 8 most intense peaks (15 to 90 degrees two-theta), in order of rising 2θ:
2theta, I/Imax, h k l
20.31, 79, 1 1 0
23.61, 93, 0 0 2
27.32, 56, 4 0 0
28.10, 100, 3 1 0
31.07, 70, 1 1 -2
35.51, 35, 4 0 -2
37.67, 62, 3 1 2
38.80, 30, 0 2 0

Crystal structure
```
data_BaAlBi
_chemical_formula_sum 'Ba4 Al4 Bi4'
_cell_length_a 13.0735
_cell_length_b 4.6415
_cell_length_c 7.5484
_cell_angle_alpha 90.00
_cell_angle_beta 92.71
_cell_angle_gamma 90.00
_symmetry_space_group_name_H-M 'C 1 2/m 1'
_symmetry_Int_Tables_number 12
_symmetry_space_group_name_Hall '-C 2y'
loop_
_atom_site_label
_atom_site_type_symbol
_atom_site_fract_x
_atom_site_fract_y
_atom_site_fract_z
Ba1 Ba 0.1397 0.0000 0.2608
Al1 Al 0.0808 0.5000 0.5959
Bi1 Bi 0.1459 0.0000 0.7772
```


No. 2
Theoretical PXRD pattern of Ba2AlHg6Bi for Cu Kα, 1.54184 Å, from a PBE-relaxed structure.
Lines closer than 0.1° are merged.

The 8 most intense peaks (15 to 90 degrees two-theta), in order of rising 2θ:
2theta, I/Imax, h k l
15.52, 37, 1 0 1
28.57, 100, 0 2 2
28.76, 76, 2 2 0
30.70, 54, 1 2 2
31.33, 35, 2 0 2
36.51, 72, 3 1 1
36.73, 59, 0 4 0
45.21, 49, 3 3 1

Crystal structure
```
data_Ba2AlHg6Bi
_chemical_formula_sum 'Ba4 Al2 Hg12 Bi2'
_cell_length_a 8.0313
_cell_length_b 9.7875
_cell_length_c 8.1191
_cell_angle_alpha 90.00
_cell_angle_beta 90.00
_cell_angle_gamma 90.00
_symmetry_space_group_name_H-M 'P m m n'
_symmetry_Int_Tables_number 59
loop_
_symmetry_equiv_pos_as_xyz
'x,y,z'
'-x,-y,-z'
'-x+1/2,-y+1/2,z'
'x+1/2,y+1/2,-z'
'x+1/2,-y,-z'
'-x+1/2,y,z'
'-x,y+1/2,-z'
'x,-y+1/2,z'
loop_
_atom_site_label
_atom_site_type_symbol
_atom_site_fract_x
_atom_site_fract_y
_atom_site_fract_z
Ba1 Ba 0.2500 0.0207 0.2384
Al1 Al 0.2500 0.2500 0.5828
Hg1 Hg 0.0633 0.7500 0.5146
Hg2 Hg 0.0669 0.2500 0.8901
Hg3 Hg 0.2500 0.5102 0.6818
Bi1 Bi 0.2500 0.7500 0.9173
```


No. 3
Theoretical PXRD pattern of Ba2AlBi3O8 for Cu Kα, 1.54184 Å, from a PBE-relaxed structure.
Lines closer than 0.1° are merged.

The 8 most intense peaks (15 to 90 degrees two-theta), in order of rising 2θ:
2theta, I/Imax, h k l
20.56, 20, 1 0 0
28.53, 100, 1 0 3
29.24, 47, 1 1 0
39.70, 15, 0 0 6
41.82, 27, 2 0 0
50.08, 24, 1 1 6
51.41, 41, 2 1 3
59.05, 11, 2 0 6

Crystal structure
```
data_Ba2AlBi3O8
_chemical_formula_sum 'Ba2 Al1 Bi3 O8'
_cell_length_a 4.3198
_cell_length_b 4.3198
_cell_length_c 13.6113
_cell_angle_alpha 90.00
_cell_angle_beta 90.00
_cell_angle_gamma 90.00
_symmetry_space_group_name_H-M 'P 4/m m m'
_symmetry_Int_Tables_number 123
_symmetry_space_group_name_Hall '-P 4 2'
loop_
_atom_site_label
_atom_site_type_symbol
_atom_site_fract_x
_atom_site_fract_y
_atom_site_fract_z
Ba1 Ba 0.0000 0.0000 0.1493
Al1 Al 0.0000 0.0000 0.5000
Bi1 Bi 0.5000 0.5000 0.0000
Bi2 Bi 0.5000 0.5000 0.3502
O1 O 0.0000 0.5000 0.0000
O2 O 0.0000 0.5000 0.4061
O3 O 0.5000 0.5000 0.1768
```


No. 4
Theoretical PXRD pattern of Ba4AlBr for Cu Kα, 1.54184 Å, from a PBE-relaxed structure.
Lines closer than 0.1° are merged.

The 8 most intense peaks (15 to 90 degrees two-theta), in order of rising 2θ:
2theta, I/Imax, h k l
28.44, 100, 3 1 1
29.73, 71, 2 2 2
34.47, 22, 4 0 0
37.67, 15, 3 3 1
45.27, 37, 5 1 1
49.54, 36, 4 4 0
58.85, 30, 6 2 2
69.35, 23, 5 5 3

Crystal structure
```
data_Ba4AlBr
_chemical_formula_sum 'Ba16 Al4 Br4'
_cell_length_a 10.4088
_cell_length_b 10.4088
_cell_length_c 10.4088
_cell_angle_alpha 90.00
_cell_angle_beta 90.00
_cell_angle_gamma 90.00
_symmetry_space_group_name_H-M 'F -4 3 m'
_symmetry_Int_Tables_number 216
_symmetry_space_group_name_Hall 'F -4 2 3'
loop_
_atom_site_label
_atom_site_type_symbol
_atom_site_fract_x
_atom_site_fract_y
_atom_site_fract_z
Ba1 Ba 0.1245 0.1245 0.3755
Al1 Al 0.2500 0.2500 0.7500
Br1 Br 0.0000 0.0000 0.0000
```


No. 5
Theoretical PXRD pattern of Ba5Al2Br2 for Cu Kα, 1.54184 Å, from a PBE-relaxed structure.
Lines closer than 0.1° are merged.

The 8 most intense peaks (15 to 90 degrees two-theta), in order of rising 2θ:
2theta, I/Imax, h k l
21.79, 52, 0 2 1
22.32, 46, 1 1 2
26.55, 67, 3 1 2
27.63, 43, 0 2 2
28.12, 91, 4 2 0
28.82, 48, 5 1 1
29.83, 67, 4 2 1
31.39, 100, 1 3 1

Crystal structure
```
data_Ba5Al2Br2
_chemical_formula_sum 'Ba20 Al8 Br8'
_cell_length_a 17.6530
_cell_length_b 9.1136
_cell_length_c 9.1490
_cell_angle_alpha 90.00
_cell_angle_beta 90.00
_cell_angle_gamma 90.00
_symmetry_space_group_name_H-M 'C m c e'
_symmetry_Int_Tables_number 64
_symmetry_space_group_name_Hall '-C 2ac 2'
loop_
_atom_site_label
_atom_site_type_symbol
_atom_site_fract_x
_atom_site_fract_y
_atom_site_fract_z
Ba1 Ba 0.0000 0.0000 0.0000
Ba2 Ba 0.1317 0.1685 0.3364
Al1 Al 0.0000 0.1132 0.6130
Br1 Br 0.2001 0.0000 0.0000
```


No. 6
Theoretical PXRD pattern of BaAlBr6 for Cu Kα, 1.54184 Å, from a PBE-relaxed structure.
Lines closer than 0.1° are merged.

The 8 most intense peaks (15 to 90 degrees two-theta), in order of rising 2θ:
2theta, I/Imax, h k l
17.15, 27, 1 1 0
23.84, 19, 1 1 2
27.87, 15, 1 0 2
28.73, 100, -1 1 1
29.16, 34, 2 0 1
30.34, 15, 2 2 2
38.26, 27, 2 1 -1
39.59, 16, 3 2 1

Crystal structure
```
data_BaAlBr6
_chemical_formula_sum 'Ba1 Al1 Br6'
_cell_length_a 7.1660
_cell_length_b 7.1717
_cell_length_c 7.4638
_cell_angle_alpha 61.50
_cell_angle_beta 61.44
_cell_angle_gamma 60.04
_symmetry_space_group_name_H-M 'P -1'
_symmetry_Int_Tables_number 2
_symmetry_space_group_name_Hall '-P 1'
loop_
_atom_site_label
_atom_site_type_symbol
_atom_site_fract_x
_atom_site_fract_y
_atom_site_fract_z
Ba1 Ba 0.0000 0.0000 0.0000
Al1 Al 0.5000 0.5000 0.5000
Br1 Br 0.1125 0.4762 0.7286
Br2 Br 0.3160 0.8879 0.2740
Br3 Br 0.4783 0.6812 0.7293
```


No. 7
Theoretical PXRD pattern of KBaAl2Br8 for Cu Kα, 1.54184 Å, from a PBE-relaxed structure.
Lines closer than 0.1° are merged.

The 8 most intense peaks (15 to 90 degrees two-theta), in order of rising 2θ:
2theta, I/Imax, h k l
20.29, 20, 0 1 5
26.04, 88, 1 1 3
26.33, 21, 0 0 9
28.51, 20, 0 2 1
30.25, 100, 2 -1 6
43.12, 42, 3 0 0
43.49, 38, 1 1 12
53.57, 15, 2 2 6

Crystal structure
```
data_KBaAl2Br8
_chemical_formula_sum 'K3 Ba3 Al6 Br24'
_cell_length_a 7.2676
_cell_length_b 7.2676
_cell_length_c 30.4611
_cell_angle_alpha 90.00
_cell_angle_beta 90.00
_cell_angle_gamma 120.00
_symmetry_space_group_name_H-M 'R -3'
_symmetry_Int_Tables_number 148
_symmetry_space_group_name_Hall '-R 3'
loop_
_atom_site_label
_atom_site_type_symbol
_atom_site_fract_x
_atom_site_fract_y
_atom_site_fract_z
K1 K 0.0000 0.0000 0.0000
Ba1 Ba 0.0000 0.0000 0.5000
Al1 Al 0.0000 0.0000 0.2564
Br1 Br 0.0000 0.0000 0.3335
Br2 Br 0.0008 0.6288 0.4365
```


No. 8
Theoretical PXRD pattern of BaAl2H10C2O13 for Cu Kα, 1.54184 Å, from a PBE-relaxed structure.
Lines closer than 0.1° are merged.

The 8 most intense peaks (15 to 90 degrees two-theta), in order of rising 2θ:
2theta, I/Imax, h k l
20.68, 60, 0 2 -2
22.15, 43, 1 1 -2
25.84, 100, 0 2 1
26.87, 42, 1 2 0
28.26, 58, 0 0 3
31.82, 45, 1 -2 3
32.82, 42, 1 3 -1
37.38, 48, 2 2 -1

Crystal structure
```
data_BaAl2H10C2O13
_chemical_formula_sum 'Ba2 Al4 H20 C4 O26'
_cell_length_a 5.7067
_cell_length_b 9.7762
_cell_length_c 10.5971
_cell_angle_alpha 115.69
_cell_angle_beta 95.39
_cell_angle_gamma 92.50
_symmetry_space_group_name_H-M 'P -1'
_symmetry_Int_Tables_number 2
_symmetry_space_group_name_Hall '-P 1'
loop_
_atom_site_label
_atom_site_type_symbol
_atom_site_fract_x
_atom_site_fract_y
_atom_site_fract_z
Ba1 Ba 0.2123 0.1349 0.1821
Al1 Al 0.0000 0.0000 0.5000
Al2 Al 0.0000 0.5000 0.5000
Al3 Al 0.5000 0.0000 0.5000
Al4 Al 0.5000 0.5000 0.5000
H1 H 0.0681 0.2184 0.9189
H2 H 0.0915 0.5290 0.2200
H3 H 0.1483 0.7445 0.9894
H4 H 0.2025 0.7816 0.3150
H5 H 0.2412 0.2863 0.5052
H6 H 0.2494 0.4169 0.9063
H7 H 0.2528 0.7056 0.4693
H8 H 0.2940 0.2072 0.6678
H9 H 0.3349 0.5613 0.1815
H10 H 0.4344 0.3294 0.9532
C1 C 0.2844 0.9560 0.7222
C2 C 0.3082 0.5950 0.7719
O1 O 0.0369 0.8243 0.0349
O2 O 0.0752 0.9644 0.6648
O3 O 0.0931 0.5703 0.7066
O4 O 0.1736 0.5906 0.1807
O5 O 0.2253 0.8657 0.4122
O6 O 0.2335 0.3577 0.4607
O7 O 0.2563 0.6200 0.4942
O8 O 0.2711 0.1489 0.5641
O9 O 0.3036 0.9341 0.8330
O10 O 0.3086 0.3160 0.8760
O11 O 0.3397 0.6340 0.9052
O12 O 0.4755 0.9690 0.6666
O13 O 0.4921 0.5780 0.7040
```


Please write out number 7 again, unchanged.
Theoretical PXRD pattern of KBaAl2Br8 for Cu Kα, 1.54184 Å, from a PBE-relaxed structure.
Lines closer than 0.1° are merged.

The 8 most intense peaks (15 to 90 degrees two-theta), in order of rising 2θ:
2theta, I/Imax, h k l
20.29, 20, 0 1 5
26.04, 88, 1 1 3
26.33, 21, 0 0 9
28.51, 20, 0 2 1
30.25, 100, 2 -1 6
43.12, 42, 3 0 0
43.49, 38, 1 1 12
53.57, 15, 2 2 6

Crystal structure
```
data_KBaAl2Br8
_chemical_formula_sum 'K3 Ba3 Al6 Br24'
_cell_length_a 7.2676
_cell_length_b 7.2676
_cell_length_c 30.4611
_cell_angle_alpha 90.00
_cell_angle_beta 90.00
_cell_angle_gamma 120.00
_symmetry_space_group_name_H-M 'R -3'
_symmetry_Int_Tables_number 148
_symmetry_space_group_name_Hall '-R 3'
loop_
_atom_site_label
_atom_site_type_symbol
_atom_site_fract_x
_atom_site_fract_y
_atom_site_fract_z
K1 K 0.0000 0.0000 0.0000
Ba1 Ba 0.0000 0.0000 0.5000
Al1 Al 0.0000 0.0000 0.2564
Br1 Br 0.0000 0.0000 0.3335
Br2 Br 0.0008 0.6288 0.4365
```